Theoretical powder XRD pattern of HfAlCo for Cu Kα (λ = 1.5418 Å), from a cell relaxed with PBE.
Intensities are scaled so that the largest is 100.

Cell and atoms:
Unit cell a=8.093 b=5.155 c=8.778 alpha=90.00 beta=90.00 gamma=90.00
Space group Amm2 (No. 38)
Inequivalent atoms, fractional coordinates:
Hf 0.174 0.000 0.000 x4
Hf 0.293 0.000 0.664 x4
Al 0.235 0.000 0.324 x4
Al 0.500 0.244 0.918 x4
Co 0.000 0.000 0.500 x2
Co 0.000 0.240 0.743 x4
Co 0.500 0.000 0.161 x2

Principal peaks in the range 2θ = 10–90°, in order of rising 2θ:
- 10.93 deg, 8.093 Å, I = 25
- 19.97 deg, 4.445 Å, I = 37
- 20.23 deg, 4.389 Å, I = 29
- 29.86 deg, 2.992 Å, I = 33
- 34.81 deg, 2.578 Å, I = 41
- 35.27 deg, 2.545 Å, I = 64
- 39.06 deg, 2.306 Å, I = 100
- 39.20 deg, 2.298 Å, I = 40
- 40.59 deg, 2.223 Å, I = 23
- 41.54 deg, 2.174 Å, I = 38
- 41.94 deg, 2.154 Å, I = 92
- 42.16 deg, 2.143 Å, I = 46